Computed X-ray powder pattern of LiCoTeO for Cu Kα X-rays, from a DFT-relaxed cell (PBE+U, OQMD).
Lines closer than 0.1° are merged.

Structure:
```
LiCoTeO
1.0
6.138 0.000 0.000
0.000 3.238 0.000
0.000 0.000 6.801
Li Co Te O
2 2 2 2
Direct
0.250 0.000 0.200
0.750 0.000 0.800
0.000 0.500 0.500
0.500 0.500 0.500
0.250 0.000 0.784
0.750 0.000 0.216
0.250 0.500 0.340
0.750 0.500 0.660
```

The 10 most intense peaks (10° ≤ 2θ ≤ 80°), low angle first:
hkl, Position (°2θ), d [Å], Rel. int.
0 0 1, 13.02, 6.801, 26.0
1 0 1, 19.48, 4.557, 100.0
0 1 1, 30.58, 2.924, 32.1
2 0 1, 31.99, 2.797, 18.8
1 1 1, 33.96, 2.639, 82.9
0 1 2, 38.39, 2.345, 51.7
2 0 2, 39.56, 2.278, 55.2
2 1 0, 40.50, 2.227, 45.8
3 1 1, 54.76, 1.676, 20.1
2 1 3, 58.05, 1.589, 23.4